1.
For SmBiPd, a structure optimized by DFT (PBE) gives the theoretical PXRD pattern in this record (Cu Ka).
Neutral-atom scattering factors, no anomalous dispersion.

Crystal structure
```
data_SmBiPd
_cell_length_a 6.8167
_cell_length_b 6.8167
_cell_length_c 6.8167
_cell_angle_alpha 90.00
_cell_angle_beta 90.00
_cell_angle_gamma 90.00
_symmetry_space_group_name_H-M 'F -4 3 m'
_symmetry_Int_Tables_number 216
_symmetry_space_group_name_Hall 'F -4 2 3'
loop_
_atom_site_label
_atom_site_fract_x
_atom_site_fract_y
_atom_site_fract_z
_atom_site_occupancy
Sm1 0.0000 0.0000 0.0000 1
Bi1 0.0000 0.0000 0.5000 1
Pd1 0.2500 0.2500 0.2500 1
```

Peak list (12 most intense, 2θ from 15° to 90°, by angle)
2θ 22.59, rel. 17
2θ 26.15, rel. 35
2θ 37.31, rel. 100
2θ 44.06, rel. 9
2θ 46.13, rel. 11
2θ 53.79, rel. 18
2θ 59.07, rel. 4
2θ 60.76, rel. 14
2θ 67.29, rel. 36
2θ 79.55, rel. 11
2θ 83.99, rel. 3
2θ 85.46, rel. 7

2.
For GdCo4B4, a structure optimized by DFT (PBE) gives the theoretical PXRD pattern in this record (Cu Ka).
Neutral-atom scattering factors, no anomalous dispersion.

Crystal structure
```
data_GdCo4B4
_cell_length_a 5.0162
_cell_length_b 5.0162
_cell_length_c 6.9986
_cell_angle_alpha 90.00
_cell_angle_beta 90.00
_cell_angle_gamma 90.00
_symmetry_space_group_name_H-M 'P 42/n m c'
_symmetry_Int_Tables_number 137
loop_
_symmetry_equiv_pos_as_xyz
'x,y,z'
'-x,-y,-z'
'-y+1/2,x,z+1/2'
'y+1/2,-x,-z+1/2'
'-x+1/2,-y+1/2,z'
'x+1/2,y+1/2,-z'
'y,-x+1/2,z+1/2'
'-y,x+1/2,-z+1/2'
'x+1/2,-y,-z'
'-x+1/2,y,z'
'-y,-x,-z+1/2'
'y,x,z+1/2'
'-x,y+1/2,-z'
'x,-y+1/2,z'
'y+1/2,x+1/2,-z+1/2'
'-y+1/2,-x+1/2,z+1/2'
loop_
_atom_site_label
_atom_site_fract_x
_atom_site_fract_y
_atom_site_fract_z
_atom_site_occupancy
Gd1 0.2500 0.7500 0.2500 1
Co1 0.0043 0.7500 0.6129 1
B1 0.0755 0.2500 0.0919 1
```

Peak list (12 most intense, 2θ from 15° to 90°, by angle)
2θ 21.80, rel. 20
2θ 25.11, rel. 36
2θ 31.16, rel. 19
2θ 35.80, rel. 18
2θ 36.05, rel. 34
2θ 38.11, rel. 32
2θ 42.31, rel. 100
2θ 42.75, rel. 61
2θ 44.44, rel. 17
2θ 48.18, rel. 17
2θ 68.80, rel. 22
2θ 76.48, rel. 22

3.
For Ba3NdRu2O9, a structure optimized by DFT (PBE) gives the theoretical PXRD pattern in this record (Cu Ka).
Neutral-atom scattering factors, no anomalous dispersion.

Crystal structure
```
data_Ba3NdRu2O9
_cell_length_a 6.0098
_cell_length_b 6.0098
_cell_length_c 14.9203
_cell_angle_alpha 90.00
_cell_angle_beta 90.00
_cell_angle_gamma 120.00
_symmetry_space_group_name_H-M 'P 63/m m c'
_symmetry_Int_Tables_number 194
_symmetry_space_group_name_Hall '-P 6c 2c'
loop_
_atom_site_label
_atom_site_fract_x
_atom_site_fract_y
_atom_site_fract_z
_atom_site_occupancy
Ba1 0.0000 0.0000 0.2500 1
Ba2 0.3333 0.6667 0.1029 1
Nd1 0.0000 0.0000 0.0000 1
Ru1 0.3333 0.6667 0.6664 1
O1 0.0181 0.5090 0.7500 1
O2 0.1781 0.3563 0.5927 1
```

Peak list (12 most intense, 2θ from 15° to 90°, by angle)
2θ 24.76, rel. 21
2θ 29.46, rel. 73
2θ 29.73, rel. 100
2θ 39.07, rel. 17
2θ 42.35, rel. 42
2θ 46.01, rel. 15
2θ 52.60, rel. 27
2θ 52.77, rel. 20
2θ 55.75, rel. 13
2θ 61.74, rel. 19
2θ 64.46, rel. 12
2θ 69.87, rel. 13

4.
For Sc, a structure optimized by DFT (PBE) gives the theoretical PXRD pattern in this record (Cu Ka).
Neutral-atom scattering factors, no anomalous dispersion.

Crystal structure
```
data_Sc
_cell_length_a 2.9894
_cell_length_b 2.9894
_cell_length_c 2.9894
_cell_angle_alpha 90.00
_cell_angle_beta 90.00
_cell_angle_gamma 90.00
_symmetry_space_group_name_H-M 'P m -3 m'
_symmetry_Int_Tables_number 221
_symmetry_space_group_name_Hall '-P 4 2 3'
loop_
_atom_site_label
_atom_site_fract_x
_atom_site_fract_y
_atom_site_fract_z
_atom_site_occupancy
Sc1 0.0000 0.0000 0.0000 1
```

Peak list (6 most intense, 2θ from 15° to 90°, by angle)
2θ 29.89, rel. 100
2θ 42.78, rel. 69
2θ 53.06, rel. 23
2θ 62.10, rel. 10
2θ 70.43, rel. 27
2θ 78.35, rel. 20